Entry 1:
The following is a simulated XRD peak list of LiNd2H6O6. It was derived from a cell relaxed with PBE, using Cu Kα, 1.54184 Å.
Lines closer than 0.1° are merged.

Crystal structure
a b c (Å): 3.811 6.521 6.574
angles (deg): 119.26 90.02 90.14
Fractional positions:
Li  0.000  0.000  0.000
Nd  0.240  0.668  0.333
Nd  0.760  0.332  0.667
H  0.338  0.723  0.831
H  0.342  0.115  0.280
H  0.351  0.168  0.902
H  0.649  0.832  0.098
H  0.658  0.885  0.720
H  0.662  0.277  0.169
O  0.241  0.315  0.923
O  0.244  0.084  0.402
O  0.247  0.598  0.680
O  0.753  0.402  0.320
O  0.756  0.916  0.598
O  0.759  0.685  0.077

Most intense lines, 10° ≤ 2θ ≤ 80°, sorted by position:
d (Å)  Position (°2θ)  intensity
5.735  15.45  60
5.689  15.58  58
5.649  15.69  60
3.310  26.93  48
3.173  28.13  100
3.160  28.24  94

Entry 2:
The following is a simulated XRD peak list of NaLa9Ge6O26. It was derived from a cell relaxed with PBE, using Cu Kα, 1.54184 Å.
Lines closer than 0.1° are merged.

Crystal structure
a b c (Å): 9.981 9.981 7.318
angles (deg): 90.00 90.00 120.00
Fractional positions:
Na  0.000  0.000  0.000
La  0.000  0.000  0.507
La  0.333  0.667  0.006
La  0.333  0.667  0.504
La  0.426  0.101  0.757
La  0.435  0.338  0.255
La  0.662  0.097  0.255
La  0.675  0.574  0.757
La  0.899  0.325  0.757
La  0.903  0.565  0.255
Ge  0.040  0.303  0.253
Ge  0.065  0.706  0.755
Ge  0.264  0.960  0.253
Ge  0.294  0.358  0.755
Ge  0.642  0.935  0.755
Ge  0.697  0.736  0.253
O  0.011  0.578  0.564
O  0.011  0.581  0.947
O  0.061  0.853  0.266
O  0.147  0.208  0.266
O  0.160  0.509  0.255
O  0.182  0.158  0.748
O  0.194  0.466  0.756
O  0.272  0.806  0.756
O  0.327  0.086  0.447
O  0.342  0.092  0.069
O  0.349  0.840  0.255
O  0.419  0.431  0.947
O  0.422  0.434  0.564
O  0.491  0.651  0.255
O  0.534  0.728  0.756
O  0.566  0.989  0.564
O  0.569  0.989  0.947
O  0.667  0.333  0.260
O  0.667  0.333  0.756
O  0.750  0.658  0.069
O  0.759  0.673  0.447
O  0.792  0.939  0.266
O  0.842  0.024  0.748
O  0.908  0.250  0.069
O  0.914  0.241  0.447
O  0.976  0.818  0.748

Most intense lines, 10° ≤ 2θ ≤ 80°, sorted by position:
d (Å)  Position (°2θ)  intensity
3.267  27.30  26
2.983  29.95  100
2.951  30.29  45
2.881  31.04  28
2.062  43.92  24
1.955  46.46  34

Entry 3:
The following is a simulated XRD peak list of Mg7Si4. It was derived from a cell relaxed with PBE, using Cu Kα, 1.54184 Å.
Lines closer than 0.1° are merged.

Crystal structure
a b c (Å): 5.270 6.102 14.177
angles (deg): 96.39 94.41 101.00
Fractional positions:
Mg  0.000  0.000  0.000
Mg  0.001  0.521  0.020
Mg  0.203  0.310  0.668
Mg  0.230  0.558  0.464
Mg  0.241  0.047  0.466
Mg  0.249  0.817  0.678
Mg  0.351  0.294  0.287
Mg  0.479  0.350  0.087
Mg  0.482  0.074  0.884
Mg  0.519  0.585  0.901
Mg  0.532  0.870  0.123
Mg  0.722  0.390  0.537
Mg  0.742  0.892  0.557
Mg  0.812  0.139  0.343
Si  0.035  0.267  0.849
Si  0.039  0.684  0.846
Si  0.372  0.823  0.302
Si  0.681  0.189  0.714
Si  0.692  0.608  0.712
Si  0.729  0.648  0.371
Si  0.940  0.264  0.166
Si  0.944  0.670  0.215

Most intense lines, 10° ≤ 2θ ≤ 80°, sorted by position:
d (Å)  Position (°2θ)  intensity
2.688  33.33  50
2.616  34.27  64
2.574  34.86  100
2.487  36.11  89
2.278  39.56  35
2.257  39.94  61

Entry 4:
The following is a simulated XRD peak list of Nd3Au. It was derived from a cell relaxed with PBE, using Cu Kα, 1.54184 Å.
Lines closer than 0.1° are merged.

Crystal structure
a b c (Å): 6.189 6.189 6.189
angles (deg): 135.36 135.36 64.97
Fractional positions:
Nd  0.000  0.000  0.000
Nd  0.250  0.750  0.500
Nd  0.750  0.250  0.500
Au  0.500  0.500  0.000

Most intense lines, 10° ≤ 2θ ≤ 80°, sorted by position:
d (Å)  Position (°2θ)  intensity
2.804  31.92  100
2.610  34.36  20
2.350  38.30  30
1.747  52.38  25
1.542  60.01  16
1.430  65.26  26

Entry 5:
The following is a simulated XRD peak list of Na3CuAsCO7. It was derived from a cell relaxed with PBE, using Cu Kα, 1.54184 Å.
Lines closer than 0.1° are merged.

Crystal structure
a b c (Å): 5.305 6.738 9.207
angles (deg): 90.00 92.99 90.00
Fractional positions:
Na  0.231  0.250  0.079
Na  0.246  0.503  0.742
Na  0.246  0.997  0.742
Na  0.754  0.003  0.258
Na  0.754  0.497  0.258
Na  0.769  0.750  0.921
Cu  0.220  0.750  0.347
Cu  0.780  0.250  0.653
As  0.308  0.250  0.421
As  0.692  0.750  0.579
C  0.284  0.750  0.058
C  0.716  0.250  0.942
O  0.079  0.750  0.132
O  0.175  0.250  0.584
O  0.225  0.051  0.308
O  0.225  0.449  0.308
O  0.259  0.750  0.917
O  0.364  0.750  0.552
O  0.497  0.250  0.875
O  0.503  0.750  0.125
O  0.636  0.250  0.448
O  0.741  0.250  0.083
O  0.775  0.551  0.692
O  0.775  0.949  0.692
O  0.825  0.750  0.416
O  0.921  0.250  0.868

Most intense lines, 10° ≤ 2θ ≤ 80°, sorted by position:
d (Å)  Position (°2θ)  intensity
4.698  18.89  50
3.566  24.97  54
3.369  26.45  100
2.738  32.71  56
2.717  32.97  88
2.649  33.84  80

Entry 6:
The following is a simulated XRD peak list of YAlZn. It was derived from a cell relaxed with PBE, using Cu Kα, 1.54184 Å.
Lines closer than 0.1° are merged.

Crystal structure
a b c (Å): 4.502 4.502 7.116
angles (deg): 90.00 90.00 120.00
Fractional positions:
Y  0.000  0.000  0.000
Y  0.000  0.000  0.500
Al  0.333  0.667  0.250
Al  0.667  0.333  0.750
Zn  0.333  0.667  0.750
Zn  0.667  0.333  0.250

Most intense lines, 10° ≤ 2θ ≤ 80°, sorted by position:
d (Å)  Position (°2θ)  intensity
3.419  26.06  15
2.628  34.11  100
2.251  40.05  58
1.710  53.60  26
1.396  67.05  24
1.362  68.97  24